For LiCuP4O12, a crystal structure in the Materials Project, relaxed with PBE gives the calculated XRD peak list in this record (Cu Ka).

Crystal structure
```
LiCuP4O12
1.0
4.998 0.000 0.000
-2.203 6.650 0.000
-1.185 -3.048 6.895
Li Cu P O
1 1 4 12
Cartesian
0.000 0.000 0.000 Li
1.322 3.287 3.785 Cu
-1.678 1.336 5.242 P
-0.655 5.241 2.372 P
1.589 -1.318 5.272 P
3.252 1.243 2.343 P
-0.747 1.328 1.256 O
-1.700 5.242 1.326 O
-1.000 1.119 3.783 O
0.858 -1.187 3.830 O
-0.631 1.480 6.268 O
0.580 -1.532 6.327 O
0.211 3.980 2.465 O
2.510 -0.160 2.247 O
0.464 4.218 5.163 O
2.230 2.379 2.440 O
2.355 0.077 5.411 O
2.393 2.580 5.135 O
```

The 6 most intense peaks (10 to 90 degrees two-theta), low angle first:
d/Å	I_rel
6.895	85
3.386	100
3.165	32
3.150	31
2.777	28
2.743	29

---

For Al2Te3, a crystal structure in the Materials Project, relaxed with PBE gives the calculated XRD peak list in this record (Cu Ka).

Crystal structure
```
Al2Te3
1.0
3.662 2.114 7.200
-3.662 2.114 7.200
0.000 -4.228 7.200
Al Te
4 6
Cartesian
0.000 0.000 0.000 Al
-1.182 -2.065 11.854 Al
-1.197 2.057 11.854 Al
2.380 0.009 11.854 Al
0.000 0.000 3.416 Te
-1.088 -2.017 14.390 Te
0.000 0.000 10.535 Te
-1.202 1.951 14.390 Te
0.000 0.000 17.947 Te
2.291 0.066 14.390 Te
```

The 6 most intense peaks (10 to 90 degrees two-theta), low angle first:
d/Å	I_rel
3.662	37
3.600	34
3.264	100
2.114	31
2.007	34
1.823	28

---

For Mg14CoW, a crystal structure in the Materials Project, relaxed with PBE gives the calculated XRD peak list in this record (Cu Ka).

Crystal structure
```
Mg14CoW
1.0
9.850 0.000 0.000
0.000 3.027 5.455
0.000 -3.027 5.455
Mg Co W
14 1 1
Cartesian
0.000 0.000 0.000 Mg
0.000 -1.508 2.754 Mg
0.000 0.000 5.453 Mg
0.000 1.508 2.754 Mg
2.503 0.000 7.209 Mg
2.594 0.000 1.717 Mg
2.662 -1.517 4.592 Mg
2.662 1.517 4.592 Mg
4.925 -1.493 8.204 Mg
4.925 1.493 8.204 Mg
7.188 -1.517 4.592 Mg
7.188 1.517 4.592 Mg
7.256 0.000 1.717 Mg
7.347 0.000 7.209 Mg
4.925 0.000 0.054 Co
4.925 0.000 5.575 W
```

The 6 most intense peaks (10 to 90 degrees two-theta), low angle first:
d/Å	I_rel
5.455	34
4.772	45
2.647	36
2.463	38
2.386	61
2.332	100

---

For NaLaF4, a crystal structure in the Materials Project, relaxed with PBE gives the calculated XRD peak list in this record (Cu Ka).

Crystal structure
```
NaLaF4
1.0
6.251 0.000 0.000
3.105 6.625 0.000
3.119 2.124 6.281
Na La F
3 3 12
Cartesian
0.000 0.000 0.000 Na
3.001 4.175 3.028 Na
6.195 3.306 1.371 Na
6.184 4.935 5.271 La
6.191 7.162 2.087 La
9.318 7.545 4.633 La
1.500 1.674 0.541 F
4.544 5.891 3.549 F
6.864 7.241 4.510 F
3.827 2.829 1.367 F
5.132 3.068 4.135 F
5.177 5.517 0.623 F
7.004 4.938 2.895 F
7.168 2.756 6.036 F
8.620 5.238 5.212 F
8.606 7.205 2.303 F
11.015 6.662 6.244 F
7.962 2.090 3.357 F
```

The 6 most intense peaks (10 to 90 degrees two-theta), low angle first:
d/Å	I_rel
5.399	79
3.142	100
3.121	46
2.216	36
2.210	43
1.805	32

---

For CaAl2Si6O20, a crystal structure in the Materials Project, relaxed with PBE gives the calculated XRD peak list in this record (Cu Ka).

Crystal structure
```
CaAl2Si6O20
1.0
6.896 0.000 0.000
0.000 14.142 0.000
-3.725 0.000 9.427
Ca Al Si O
2 4 12 40
Cartesian
0.000 3.008 0.000 Ca
-1.862 11.134 4.714 Ca
1.435 5.052 2.196 Al
-0.428 9.089 6.910 Al
4.367 0.069 5.595 Al
6.229 14.073 0.881 Al
-0.121 2.180 5.412 Si
1.741 11.962 0.699 Si
0.050 5.270 5.144 Si
1.912 8.871 0.431 Si
1.444 1.790 2.667 Si
-0.419 12.352 7.381 Si
1.631 0.590 7.406 Si
3.494 13.551 2.692 Si
2.059 6.981 6.662 Si
3.921 7.161 1.948 Si
6.595 6.655 0.261 Si
4.733 7.487 4.975 Si
-1.476 1.361 5.172 O
0.386 12.781 0.458 O
0.373 5.230 0.752 O
-1.489 8.912 5.466 O
0.261 1.218 1.689 O
-1.601 12.923 6.402 O
-1.216 6.258 5.466 O
0.646 7.883 0.752 O
-0.440 3.762 5.528 O
1.422 10.380 0.815 O
0.499 5.370 3.608 O
-1.363 8.772 8.321 O
-1.575 2.118 9.400 O
0.287 12.023 4.686 O
1.689 3.282 2.034 O
-0.173 10.860 6.748 O
0.957 1.887 4.210 O
-0.905 12.255 8.924 O
0.596 1.723 6.830 O
2.459 12.419 2.117 O
1.276 5.634 6.162 O
3.138 8.508 1.448 O
2.923 5.910 2.072 O
1.060 8.232 6.786 O
2.805 0.892 2.617 O
0.942 13.250 7.331 O
4.377 3.986 0.104 O
2.514 10.155 4.818 O
4.493 3.630 1.280 O
2.631 10.512 5.993 O
5.110 6.823 0.884 O
3.247 7.318 5.597 O
1.974 0.962 8.959 O
3.836 13.179 4.245 O
3.011 0.610 6.552 O
4.874 13.531 1.838 O
3.118 2.909 6.922 O
4.981 11.232 2.208 O
2.768 6.574 8.074 O
4.630 7.568 3.360 O
```

The 6 most intense peaks (10 to 90 degrees two-theta), low angle first:
d/Å	I_rel
5.933	74
4.750	41
4.714	100
4.355	36
3.265	32
3.096	67

---

For BiAsPbO5, a crystal structure in the Materials Project, relaxed with PBE gives the calculated XRD peak list in this record (Cu Ka).

Crystal structure
```
BiAsPbO5
1.0
6.700 -2.812 0.000
6.700 2.812 0.000
-2.688 0.000 6.725
Bi As Pb O
2 2 2 10
Cartesian
-0.491 0.000 1.681 Bi
11.203 0.000 5.045 Bi
3.555 0.000 2.342 As
7.158 0.000 4.383 As
2.162 0.000 5.917 Pb
8.550 0.000 0.808 Pb
4.189 1.394 1.526 O
1.864 0.000 1.985 O
6.700 1.484 0.000 O
6.523 1.394 5.199 O
3.871 0.000 4.025 O
6.841 0.000 2.700 O
4.189 -1.394 1.526 O
6.700 -1.484 0.000 O
8.848 0.000 4.741 O
6.523 -1.394 5.199 O
```

The 6 most intense peaks (10 to 90 degrees two-theta), low angle first:
d/Å	I_rel
3.338	100
3.032	69
2.877	21
2.812	32
2.011	25
1.903	19

---

For SrYMg6, a crystal structure in the Materials Project, relaxed with PBE gives the calculated XRD peak list in this record (Cu Ka).

Crystal structure
```
SrYMg6
1.0
5.260 0.000 0.000
0.000 3.546 5.844
0.000 -3.546 5.844
Sr Y Mg
1 1 6
Cartesian
0.000 0.000 0.000 Sr
2.630 0.000 3.574 Y
0.000 0.000 5.668 Mg
0.000 -1.639 8.675 Mg
0.000 1.639 8.675 Mg
2.630 -1.575 6.616 Mg
2.630 1.575 6.616 Mg
2.630 0.000 9.440 Mg
```

The 6 most intense peaks (10 to 90 degrees two-theta), low angle first:
d/Å	I_rel
3.973	30
3.910	18
2.922	15
2.627	100
2.554	22
1.517	17

---

For Ba2SnSe3F2, a crystal structure in the Materials Project, relaxed with PBE gives the calculated XRD peak list in this record (Cu Ka).

Crystal structure
```
Ba2SnSe3F2
1.0
6.491 0.000 0.000
0.000 20.119 0.000
0.000 0.000 6.568
Ba Sn Se F
8 4 12 8
Cartesian
1.595 1.466 0.031 Ba
1.595 8.594 0.031 Ba
1.651 11.525 3.315 Ba
1.651 18.653 3.315 Ba
4.840 1.466 3.253 Ba
4.840 8.594 3.253 Ba
4.896 11.525 6.537 Ba
4.896 18.653 6.537 Ba
0.943 15.089 5.973 Sn
2.302 5.030 2.689 Sn
4.189 15.089 3.879 Sn
5.548 5.030 0.595 Sn
1.572 2.721 3.377 Se
1.572 7.339 3.377 Se
1.600 15.089 3.436 Se
1.646 5.030 0.151 Se
1.673 12.780 0.093 Se
1.673 17.398 0.093 Se
4.818 2.721 6.475 Se
4.818 7.339 6.475 Se
4.845 15.089 6.417 Se
4.891 5.030 3.133 Se
4.919 12.780 3.191 Se
4.919 17.398 3.191 Se
0.010 0.026 4.901 F
0.010 10.034 4.901 F
3.236 10.085 1.617 F
3.236 20.093 1.617 F
3.255 0.026 4.951 F
3.255 10.034 4.951 F
6.481 10.085 1.667 F
6.481 20.093 1.667 F
```

The 6 most intense peaks (10 to 90 degrees two-theta), low angle first:
d/Å	I_rel
3.803	44
3.284	69
3.246	63
3.033	100
2.308	60
2.012	45

---

For HgBrN, a crystal structure in the Materials Project, relaxed with PBE gives the calculated XRD peak list in this record (Cu Ka).

Crystal structure
```
HgBrN
1.0
4.388 0.000 0.000
0.000 4.388 0.000
0.000 0.000 4.228
Hg Br N
1 1 1
Cartesian
0.000 0.000 0.000 Hg
2.194 2.194 0.000 Br
0.000 0.000 2.114 N
```

The 6 most intense peaks (10 to 90 degrees two-theta), low angle first:
d/Å	I_rel
4.388	45
4.228	87
3.103	100
2.501	92
2.194	38
1.947	45